No. 1
This entry pairs a crystal structure of YErMgHg with its calculated X-ray diffraction stick pattern. Radiation: CuKα. Structure: DFT lattice parameters and positions (PBE).
Kinematic intensities with the Lorentz-polarization factor, no thermal factor.

Crystal structure
Cell lengths 3.771, 3.771, 7.347 Å; angles 90.00, 90.00, 90.00 degrees
Space group P4mm (No. 99)
One atom of each set of equivalent atoms:
Y (0.000, 0.000, 0.000) x1
Er (0.000, 0.000, 0.490) x1
Mg (0.500, 0.500, 0.742) x1
Hg (0.500, 0.500, 0.253) x1

Largest 10 diffraction maxima, by angle, 2θ = 10–90°:
2theta	intensity	index
12.05	47	0 0 1
26.57	26	1 0 1
33.61	52	1 1 0
34.07	100	1 0 2
35.82	15	1 1 1
44.09	11	1 0 3
48.27	19	2 0 0
60.39	38	2 1 2
61.28	18	1 1 4
71.74	11	2 0 4


No. 2
This entry pairs a crystal structure of Na4ErHg5 with its calculated X-ray diffraction stick pattern. Radiation: CuKα. Structure: DFT lattice parameters and positions (PBE).
Kinematic intensities with the Lorentz-polarization factor, no thermal factor.

Crystal structure
Cell lengths 3.732, 3.732, 18.449 Å; angles 90.00, 90.00, 90.00 degrees
Space group P4/mmm (No. 123)
One atom of each set of equivalent atoms:
Na (0.000, 0.000, 0.099) x2
Na (0.000, 0.000, 0.302) x2
Er (0.000, 0.000, 0.500) x1
Hg (0.500, 0.500, 0.000) x1
Hg (0.500, 0.500, 0.198) x2
Hg (0.500, 0.500, 0.406) x2

Largest 10 diffraction maxima, by angle, 2θ = 10–90°:
2theta	intensity	index
23.84	42	1 0 0
24.12	20	0 0 5
33.97	51	1 1 0
34.17	100	1 0 5
42.09	19	1 1 5
48.80	19	2 0 0
55.02	9	2 1 0
60.92	38	2 1 5
61.31	18	1 1 10
71.97	11	2 0 10


No. 3
This entry pairs a crystal structure of NdErHg3 with its calculated X-ray diffraction stick pattern. Radiation: CuKα. Structure: DFT lattice parameters and positions (PBE).
Kinematic intensities with the Lorentz-polarization factor, no thermal factor.

Crystal structure
Cell lengths 3.591, 29.183, 4.958 Å; angles 90.00, 90.00, 90.00 degrees
Space group Cmcm (No. 63)
One atom of each set of equivalent atoms:
Nd (0.000, 0.076, 0.250) x4
Er (0.000, 0.211, 0.750) x4
Hg (0.000, 0.316, 0.750) x4
Hg (0.000, 0.376, 0.250) x4
Hg (0.000, 0.475, 0.250) x4

Largest 10 diffraction maxima, by angle, 2θ = 10–90°:
2theta	intensity	index
24.98	19	1 1 0
32.12	100	1 3 1
32.92	35	1 7 0
35.70	80	0 10 1
36.24	48	0 0 2
41.72	33	1 9 1
49.76	22	1 7 2
50.86	18	2 0 0
63.68	30	2 10 1
64.03	19	2 0 2


No. 4
This entry pairs a crystal structure of Nd8Er2Hg with its calculated X-ray diffraction stick pattern. Radiation: CuKα. Structure: DFT lattice parameters and positions (PBE).
Kinematic intensities with the Lorentz-polarization factor, no thermal factor.

Crystal structure
Cell lengths 17.938, 5.625, 7.932 Å; angles 90.00, 112.06, 90.00 degrees
Space group C2/m (No. 12)
One atom of each set of equivalent atoms:
Nd (0.010, 0.000, 0.257) x4
Nd (0.114, 0.500, 0.927) x4
Nd (0.161, 0.500, 0.413) x4
Nd (0.180, 0.000, 0.720) x4
Er (0.190, 0.000, 0.160) x4
Hg (0.000, 0.500, 0.500) x2

Largest 10 diffraction maxima, by angle, 2θ = 10–90°:
2theta	intensity	index
29.61	28	5 1 -1
31.19	100	1 1 2
31.82	43	0 2 0
32.31	18	6 0 0
32.86	41	5 1 -2
34.82	10	4 0 -3
45.98	14	6 2 0
47.91	12	4 2 -3
56.30	19	1 3 2
57.35	9	5 3 -2


No. 5
This entry pairs a crystal structure of Nd4ErHg3 with its calculated X-ray diffraction stick pattern. Radiation: CuKα. Structure: DFT lattice parameters and positions (PBE).
Kinematic intensities with the Lorentz-polarization factor, no thermal factor.

Crystal structure
Cell lengths 3.787, 5.509, 11.194 Å; angles 90.00, 90.00, 90.00 degrees
Space group Pmmm (No. 47)
One atom of each set of equivalent atoms:
Nd (0.000, 0.000, 0.000) x1
Nd (0.000, 0.000, 0.500) x1
Nd (0.000, 0.500, 0.237) x2
Er (0.500, 0.500, 0.500) x1
Hg (0.500, 0.000, 0.259) x2
Hg (0.500, 0.500, 0.000) x1

Largest 10 diffraction maxima, by angle, 2θ = 10–90°:
2theta	intensity	index
31.98	26	0 0 4
32.50	26	0 2 0
32.86	100	1 1 2
46.24	19	0 2 4
57.55	19	1 1 6
58.22	20	1 3 2
58.89	9	2 0 4
59.21	9	2 2 0
68.89	12	2 2 4
77.14	12	0 4 4


No. 6
This entry pairs a crystal structure of Nd4ErHg4 with its calculated X-ray diffraction stick pattern. Radiation: CuKα. Structure: DFT lattice parameters and positions (PBE).
Kinematic intensities with the Lorentz-polarization factor, no thermal factor.

Crystal structure
Cell lengths 9.590, 9.590, 5.753 Å; angles 90.00, 90.00, 90.00 degrees
Space group P4_2/n (No. 86, origin choice 2)
One atom of each set of equivalent atoms:
Nd (0.091, 0.837, 0.139) x8
Er (0.250, 0.250, 0.750) x2
Hg (0.053, 0.148, 0.365) x8

Largest 10 diffraction maxima, by angle, 2θ = 10–90°:
2theta	intensity	index
25.91	27	2 1 1
29.45	100	3 1 0
30.60	67	2 2 1
32.03	83	3 0 1
32.49	52	1 0 2
33.40	25	1 3 1
37.24	81	2 3 1
37.65	91	2 1 2
57.77	33	5 0 2
61.15	34	2 6 0


No. 7
This entry pairs a crystal structure of Nd12ErHg6 with its calculated X-ray diffraction stick pattern. Radiation: CuKα. Structure: DFT lattice parameters and positions (PBE).
Kinematic intensities with the Lorentz-polarization factor, no thermal factor.

Crystal structure
Cell lengths 15.2859, 15.2859, 8.6063 Å; angles 90.00, 90.00, 120.00 degrees
Space group R-3 (No. 148, hexagonal axes)
One atom of each set of equivalent atoms:
Nd (0.0060, 0.1452, 0.3367) x18
Nd (0.0642, 0.4896, 0.6569) x18
Er (0.0000, 0.0000, 0.0000) x3
Hg (0.0192, 0.7524, 0.3408) x18

Largest 10 diffraction maxima, by angle, 2θ = 10–90°:
2theta	intensity	index
31.22	100	0 0 3
36.20	49	2 3 2
52.12	29	5 -2 4
62.02	31	2 3 5
65.02	3	0 0 6
65.15	5	10 -4 2
76.84	3	4 6 4
85.13	4	5 -2 7
85.27	6	10 -4 5
87.96	6	8 -7 6


No. 8
This entry pairs a crystal structure of NdEr4Hg with its calculated X-ray diffraction stick pattern. Radiation: CuKα. Structure: DFT lattice parameters and positions (PBE).
Kinematic intensities with the Lorentz-polarization factor, no thermal factor.

Crystal structure
Cell lengths 3.570, 3.570, 13.973 Å; angles 90.00, 90.00, 90.00 degrees
Space group P4/mmm (No. 123)
One atom of each set of equivalent atoms:
Nd (0.000, 0.000, 0.000) x1
Er (0.000, 0.000, 0.358) x2
Er (0.500, 0.500, 0.181) x2
Hg (0.500, 0.500, 0.500) x1

Largest 10 diffraction maxima, by angle, 2θ = 10–90°:
2theta	intensity	index
31.58	100	1 0 3
35.56	40	1 1 0
35.97	7	1 0 4
38.66	11	0 0 6
51.18	14	2 0 0
53.54	17	1 1 6
61.39	30	2 1 3
65.94	9	2 0 6
83.93	6	3 0 3
86.14	7	3 1 0


No. 9
This entry pairs a crystal structure of Er5Hg2O with its calculated X-ray diffraction stick pattern. Radiation: CuKα. Structure: DFT lattice parameters and positions (PBE).
Kinematic intensities with the Lorentz-polarization factor, no thermal factor.

Crystal structure
Cell lengths 3.623, 19.833, 12.640 Å; angles 90.00, 90.00, 90.00 degrees
Space group Cmcm (No. 63)
One atom of each set of equivalent atoms:
Er (0.000, 0.077, 0.104) x8
Er (0.000, 0.300, 0.750) x4
Er (0.000, 0.314, 0.055) x8
Hg (0.000, 0.074, 0.639) x8
O (0.000, 0.133, 0.250) x4

Largest 10 diffraction maxima, by angle, 2θ = 10–90°:
2theta	intensity	index
24.98	50	1 1 0
27.79	49	0 4 3
28.08	47	1 3 0
29.67	44	0 2 4
32.91	45	1 1 3
33.50	100	1 5 0
36.24	44	0 8 0
38.06	61	1 1 4
39.45	35	0 6 4
50.03	44	1 7 4


No. 10
This entry pairs a crystal structure of ErPuHg2O6 with its calculated X-ray diffraction stick pattern. Radiation: CuKα. Structure: DFT lattice parameters and positions (PBE).
Kinematic intensities with the Lorentz-polarization factor, no thermal factor.

Crystal structure
Cell lengths 5.8042, 5.8042, 15.2767 Å; angles 90.00, 90.00, 120.00 degrees
Space group R-3 (No. 148, hexagonal axes)
One atom of each set of equivalent atoms:
Er (0.0000, 0.0000, 0.0000) x3
Pu (0.0000, 0.0000, 0.5000) x3
Hg (0.0000, 0.0000, 0.2528) x6
O (0.0112, 0.3905, 0.2492) x18

Largest 10 diffraction maxima, by angle, 2θ = 10–90°:
2theta	intensity	index
29.37	100	1 0 4
30.81	82	1 1 0
43.09	41	0 2 4
51.17	22	0 1 8
53.90	39	3 -1 4
54.79	22	3 0 0
60.93	15	2 0 8
69.83	18	1 2 8
72.12	16	1 3 4
88.59	11	3 2 4